[1]
Diffraction record for LiNpNi2O6. The powder XRD pattern is computed, not measured: it uses a cell relaxed with GGA+U and Cu Ka.

Atomic structure:
```
LiNpNi2O6
1.0
5.8397 0.0000 0.0000
0.0000 5.8397 0.0000
0.0000 0.0000 4.1682
Li Np Ni O
1 1 2 6
Direct
0.0000 0.0000 0.0000
0.5000 0.5000 0.9984
0.0000 0.5000 0.9974
0.5000 0.0000 0.9974
0.0000 0.0000 0.4995
0.2532 0.2532 0.9982
0.2532 0.7468 0.9982
0.5000 0.5000 0.4983
0.7468 0.2532 0.9982
0.7468 0.7468 0.9982
```

Most intense lines, 15 to 90 degrees two-theta, low angle first:
2θ = 15.17°, I 100.0; 2θ = 21.32°, I 75.4; 2θ = 26.27°, I 56.5; 2θ = 30.62°, I 41.6; 2θ = 34.34°, I 28.0; 2θ = 37.61°, I 31.5; 2θ = 40.77°, I 35.4; 2θ = 43.85°, I 29.8; 2θ = 49.26°, I 35.5; 2θ = 63.42°, I 18.4

[2]
Diffraction record for Li2Ni5O7. The powder XRD pattern is computed, not measured: it uses a cell relaxed with GGA+U and Cu Ka.

Atomic structure:
```
Li2Ni5O7
1.0
4.6446 -2.0645 0.0000
4.6446 2.0645 0.0000
-0.9568 0.0000 6.4996
Li Ni O
2 5 7
Direct
0.0681 0.0681 0.2127
0.9319 0.9319 0.7873
0.2153 0.2153 0.6435
0.3600 0.3600 0.0699
0.5000 0.5000 0.5000
0.6400 0.6400 0.9301
0.7847 0.7847 0.3565
0.0000 0.0000 0.5000
0.1543 0.1543 0.9260
0.2928 0.2928 0.3625
0.4308 0.4308 0.7868
0.5692 0.5692 0.2132
0.7072 0.7072 0.6375
0.8457 0.8457 0.0740
```

Most intense lines, 15 to 90 degrees two-theta, low angle first:
2θ = 22.00°, I 24.5; 2θ = 23.62°, I 45.4; 2θ = 37.58°, I 100.0; 2θ = 43.51°, I 65.2; 2θ = 43.66°, I 63.9; 2θ = 43.85°, I 63.6; 2θ = 63.23°, I 18.1; 2θ = 63.47°, I 54.4; 2θ = 63.60°, I 35.8; 2θ = 80.12°, I 17.9

[3]
Diffraction record for Li4Ni5O10. The powder XRD pattern is computed, not measured: it uses a cell relaxed with GGA+U and Cu Ka.

Atomic structure:
```
Li4Ni5O10
1.0
5.0699 0.0000 0.0000
-1.7424 5.5624 0.0000
-0.7500 -1.9634 6.0746
Li Ni O
4 5 10
Direct
0.1010 0.1933 0.1888
0.3033 0.6134 0.6093
0.6967 0.3866 0.3907
0.8990 0.8067 0.8112
0.1049 0.7024 0.2024
0.2963 0.0969 0.5999
0.5000 0.5000 0.0000
0.7037 0.9031 0.4001
0.8951 0.2976 0.7976
0.0197 0.7612 0.4851
0.1665 0.6251 0.9092
0.1743 0.1635 0.8728
0.3756 0.0329 0.3162
0.3960 0.5804 0.2986
0.6040 0.4196 0.7014
0.6244 0.9671 0.6838
0.8257 0.8365 0.1272
0.8335 0.3749 0.0908
0.9803 0.2388 0.5149
```

Most intense lines, 15 to 90 degrees two-theta, low angle first:
2θ = 18.54°, I 100.0; 2θ = 35.89°, I 14.8; 2θ = 36.91°, I 12.3; 2θ = 37.12°, I 11.9; 2θ = 43.41°, I 22.1; 2θ = 44.59°, I 20.2; 2θ = 44.84°, I 19.8; 2θ = 48.48°, I 8.7; 2θ = 63.95°, I 16.5; 2θ = 64.04°, I 5.7

[4]
Diffraction record for Li5NiO4. The powder XRD pattern is computed, not measured: it uses a cell relaxed with GGA+U and Cu Ka.

Atomic structure:
```
Li5NiO4
1.0
4.7715 0.0000 0.0000
0.0000 4.3396 4.7115
0.0000 -4.3396 4.7115
Li Ni O
10 2 8
Direct
0.0000 0.0000 0.0000
0.0269 0.9707 0.5602
0.0527 0.7313 0.3035
0.4473 0.2313 0.8035
0.4731 0.4707 0.0602
0.5000 0.5000 0.5000
0.5269 0.0602 0.4707
0.5527 0.8035 0.2313
0.9473 0.3035 0.7313
0.9731 0.5602 0.9707
0.0000 0.2740 0.2740
0.5000 0.7740 0.7740
0.1664 0.2844 0.0065
0.2282 0.2583 0.5149
0.2718 0.7583 0.0149
0.3336 0.7844 0.5065
0.6664 0.5065 0.7844
0.7282 0.0149 0.7583
0.7718 0.5149 0.2583
0.8336 0.0065 0.2844
```

Most intense lines, 15 to 90 degrees two-theta, low angle first:
2θ = 18.83°, I 32.2; 2θ = 23.27°, I 100.0; 2θ = 27.95°, I 22.3; 2θ = 33.79°, I 27.4; 2θ = 35.75°, I 18.3; 2θ = 37.59°, I 18.7; 2θ = 46.74°, I 21.8; 2θ = 54.76°, I 13.9; 2θ = 57.38°, I 13.9; 2θ = 57.77°, I 12.7

[5]
Diffraction record for Li7Ni9O18. The powder XRD pattern is computed, not measured: it uses a cell relaxed with GGA+U and Cu Ka.

Atomic structure:
```
Li7Ni9O18
1.0
5.8583 0.0000 0.0000
1.6037 6.2503 0.0000
0.0654 1.9548 8.4415
Li Ni O
7 9 18
Direct
0.0000 0.0000 0.0000
0.0021 0.9967 0.3287
0.3400 0.6530 0.5551
0.3445 0.6600 0.8987
0.6555 0.3400 0.1013
0.6600 0.3470 0.4449
0.9979 0.0033 0.6713
0.1596 0.3330 0.1123
0.1636 0.3333 0.4407
0.1686 0.3307 0.7774
0.4864 0.9977 0.3328
0.5000 0.0000 0.0000
0.5136 0.0023 0.6672
0.8314 0.6693 0.2226
0.8364 0.6667 0.5593
0.8404 0.6670 0.8877
0.0593 0.6618 0.7212
0.0659 0.6466 0.4076
0.0677 0.6479 0.0438
0.2320 0.0286 0.1589
0.2560 0.0211 0.4890
0.2930 0.9992 0.8281
0.3831 0.3151 0.2782
0.3902 0.3170 0.9638
0.3964 0.3182 0.5923
0.6036 0.6818 0.4077
0.6098 0.6830 0.0362
0.6169 0.6849 0.7218
0.7070 0.0008 0.1719
0.7440 0.9789 0.5110
0.7680 0.9714 0.8411
0.9323 0.3521 0.9562
0.9342 0.3534 0.5924
0.9407 0.3382 0.2788
```

Most intense lines, 15 to 90 degrees two-theta, low angle first:
2θ = 18.49°, I 100.0; 2θ = 36.35°, I 13.3; 2θ = 36.67°, I 12.6; 2θ = 36.88°, I 12.5; 2θ = 38.31°, I 9.2; 2θ = 43.86°, I 20.6; 2θ = 44.21°, I 20.0; 2θ = 44.64°, I 19.9; 2θ = 48.42°, I 8.2; 2θ = 63.97°, I 10.6

[6]
Diffraction record for Li3Ni4O8. The powder XRD pattern is computed, not measured: it uses a cell relaxed with GGA+U and Cu Ka.

Atomic structure:
```
Li3Ni4O8
1.0
5.0567 -2.8378 0.0000
5.0567 2.8378 0.0000
-1.7682 0.0000 4.7762
Li Ni O
3 4 8
Direct
0.0000 0.0000 0.0000
0.5005 0.0007 0.9955
0.9993 0.4995 0.0045
0.2500 0.2538 0.5080
0.2506 0.7494 0.5000
0.7462 0.7500 0.4920
0.7473 0.2527 0.5000
0.0945 0.6158 0.7207
0.1397 0.1145 0.7176
0.3557 0.3843 0.2961
0.3842 0.9055 0.2793
0.6157 0.6443 0.7039
0.6173 0.1016 0.7156
0.8855 0.8603 0.2824
0.8984 0.3827 0.2844
```

Most intense lines, 15 to 90 degrees two-theta, low angle first:
2θ = 18.58°, I 100.0; 2θ = 35.97°, I 13.9; 2θ = 36.91°, I 24.6; 2θ = 38.38°, I 9.1; 2θ = 43.46°, I 21.2; 2θ = 44.68°, I 39.2; 2θ = 48.40°, I 12.2; 2θ = 58.79°, I 9.6; 2θ = 63.90°, I 10.6; 2θ = 64.27°, I 16.2

[7]
Diffraction record for LiNi9O13. The powder XRD pattern is computed, not measured: it uses a cell relaxed with GGA+U and Cu Ka.

Atomic structure:
```
LiNi9O13
1.0
2.9534 0.0000 0.0000
0.8221 5.0887 0.0000
0.6732 -0.0420 15.1501
Li Ni O
1 9 13
Direct
0.0000 0.0000 0.0000
0.1209 0.1868 0.6639
0.2998 0.0254 0.3308
0.3755 0.6740 0.5806
0.3820 0.4895 0.0252
0.5806 0.8672 0.8450
0.6825 0.1249 0.4943
0.8502 0.9987 0.1632
0.9775 0.3432 0.8600
0.9946 0.5671 0.4011
0.0110 0.4088 0.5368
0.0584 0.0502 0.7856
0.2889 0.1701 0.2206
0.3037 0.8635 0.4497
0.3906 0.8331 0.0991
0.4617 0.1817 0.9286
0.4891 0.5200 0.7889
0.5325 0.4508 0.6951
0.5995 0.2974 0.3796
0.7375 0.9484 0.6087
0.8835 0.6342 0.9423
0.8859 0.3044 0.0817
0.9030 0.8039 0.2932
```

Most intense lines, 15 to 90 degrees two-theta, low angle first:
2θ = 18.39°, I 51.5; 2θ = 21.03°, I 79.1; 2θ = 23.49°, I 49.9; 2θ = 24.85°, I 43.8; 2θ = 34.48°, I 59.3; 2θ = 35.50°, I 96.5; 2θ = 35.77°, I 66.6; 2θ = 39.82°, I 100.0; 2θ = 40.29°, I 63.3; 2θ = 46.57°, I 60.5

[8]
Diffraction record for Li2Ni5O5. The powder XRD pattern is computed, not measured: it uses a cell relaxed with GGA+U and Cu Ka.

Atomic structure:
```
Li2Ni5O5
1.0
-3.4628 3.4628 2.4139
3.4628 -3.4628 2.4139
3.4628 3.4628 -2.4139
Li Ni O
2 5 5
Direct
0.0000 0.5000 0.5000
0.5000 0.0000 0.5000
0.1471 0.1471 0.0000
0.3738 0.3738 0.5914
0.3738 0.7824 0.0000
0.7824 0.3738 0.0000
0.7824 0.7824 0.4086
0.2593 0.5463 0.2870
0.2593 0.9723 0.7130
0.5463 0.2593 0.2870
0.7286 0.7286 0.0000
0.9723 0.2593 0.7130
```

Most intense lines, 15 to 90 degrees two-theta, low angle first:
2θ = 18.11°, I 38.2; 2θ = 25.73°, I 41.4; 2θ = 34.40°, I 49.3; 2θ = 36.70°, I 50.6; 2θ = 37.25°, I 41.0; 2θ = 43.45°, I 100.0; 2θ = 45.82°, I 39.0; 2θ = 53.29°, I 47.2; 2θ = 70.76°, I 24.6; 2θ = 76.68°, I 27.0